Entry 1:
# Th3TcTeSe
Theoretical X-ray powder pattern, λ = 1.5418 Å (Cu Kα). Input: a PBE-relaxed structure.
Peak positions follow from Bragg's law for the DFT cell and can differ from measured ones.

Atomic structure:
```
data_Th3TcTeSe
_space_group_name_H-M_alt 'P 1 21/m 1'
_space_group_IT_number 11
_space_group_name_Hall '-P 2yb'
_cell_length_a 8.162
_cell_length_b 4.220
_cell_length_c 10.353
_cell_angle_alpha 90.00
_cell_angle_beta 113.11
_cell_angle_gamma 90.00
loop_
_atom_site_label
_atom_site_fract_x
_atom_site_fract_y
_atom_site_fract_z
_atom_site_occupancy
Th1 0.157 0.250 0.137 1
Th2 0.275 0.750 0.480 1
Th3 0.315 0.750 0.903 1
Tc1 0.056 0.250 0.822 1
Te1 0.491 0.250 0.726 1
Se1 0.009 0.750 0.632 1
```

Peak list (6 most intense, 2θ from 5° to 70°, by angle)
2θ (°)  d [Å]  I_rel  hkl
28.84  3.096  58  2 0 -3
30.47  2.933  65  2 1 -1
31.92  2.803  100  2 1 0
33.53  2.673  54  1 1 2
35.81  2.507  50  2 0 2
42.86  2.110  50  0 2 0

Entry 2:
# PuTc2N3
Theoretical X-ray powder pattern, λ = 1.5418 Å (Cu Kα). Input: a PBE-relaxed structure.
Peak positions follow from Bragg's law for the DFT cell and can differ from measured ones.

Atomic structure:
```
data_PuTc2N3
_space_group_name_H-M_alt 'P m m n'
_space_group_IT_number 59
_cell_length_a 4.460
_cell_length_b 9.672
_cell_length_c 3.422
_cell_angle_alpha 90.00
_cell_angle_beta 90.00
_cell_angle_gamma 90.00
loop_
_space_group_symop_operation_xyz
'x,y,z'
'-x,-y,-z'
'-x+1/2,-y+1/2,z'
'x+1/2,y+1/2,-z'
'x+1/2,-y,-z'
'-x+1/2,y,z'
'-x,y+1/2,-z'
'x,-y+1/2,z'
loop_
_atom_site_label
_atom_site_fract_x
_atom_site_fract_y
_atom_site_fract_z
_atom_site_occupancy
Pu1 0.250 0.250 0.009 1
Tc1 0.250 0.598 0.486 1
N1 0.250 0.105 0.512 1
N2 0.250 0.750 0.017 1
```

Peak list (6 most intense, 2θ from 5° to 70°, by angle)
2θ (°)  d [Å]  I_rel  hkl
18.34  4.836  19  0 2 0
32.04  2.793  35  0 2 1
34.31  2.613  100  1 3 0
40.45  2.230  20  2 0 0
45.96  1.975  22  0 4 1
62.86  1.478  17  2 4 1

Entry 3:
# CaPaP
Theoretical X-ray powder pattern, λ = 1.5418 Å (Cu Kα). Input: a PBE-relaxed structure.
Peak positions follow from Bragg's law for the DFT cell and can differ from measured ones.

Atomic structure:
```
data_CaPaP
_space_group_name_H-M_alt 'P 3 m 1'
_space_group_IT_number 156
_space_group_name_Hall 'P 3 -2"'
_cell_length_a 3.7459
_cell_length_b 3.7459
_cell_length_c 6.8402
_cell_angle_alpha 90.00
_cell_angle_beta 90.00
_cell_angle_gamma 120.00
loop_
_atom_site_label
_atom_site_fract_x
_atom_site_fract_y
_atom_site_fract_z
_atom_site_occupancy
Ca1 0.0000 0.0000 0.0000 1
Pa1 0.3333 0.6667 0.4910 1
P1 0.6667 0.3333 0.7357 1
```

Peak list (6 most intense, 2θ from 5° to 70°, by angle)
2θ (°)  d [Å]  I_rel  hkl
12.94  6.840  64  0 0 1
26.05  3.420  22  0 0 2
27.50  3.244  36  1 0 0
30.50  2.931  100  0 1 1
38.24  2.354  46  1 0 2
48.82  1.865  28  1 0 3

Entry 4:
# Tl10Hg3Cl16
Theoretical X-ray powder pattern, λ = 1.5418 Å (Cu Kα). Input: a PBE-relaxed structure.
Peak positions follow from Bragg's law for the DFT cell and can differ from measured ones.

Atomic structure:
```
data_Tl10Hg3Cl16
_space_group_name_H-M_alt 'I 4/m'
_space_group_IT_number 87
_space_group_name_Hall '-I 4'
_cell_length_a 8.705
_cell_length_b 8.705
_cell_length_c 24.204
_cell_angle_alpha 90.00
_cell_angle_beta 90.00
_cell_angle_gamma 90.00
loop_
_atom_site_label
_atom_site_fract_x
_atom_site_fract_y
_atom_site_fract_z
_atom_site_occupancy
Tl1 0.000 0.000 0.224 1
Tl2 0.139 0.327 0.087 1
Hg1 0.000 0.000 0.500 1
Hg2 0.000 0.500 0.250 1
Cl1 0.000 0.000 0.095 1
Cl2 0.000 0.000 0.401 1
Cl3 0.140 0.326 0.500 1
Cl4 0.149 0.669 0.183 1
```

Peak list (6 most intense, 2θ from 5° to 70°, by angle)
2θ (°)  d [Å]  I_rel  hkl
22.03  4.034  36  0 0 6
23.14  3.844  66  2 1 1
25.20  3.533  43  2 0 4
29.44  3.034  100  2 1 5
32.53  2.753  40  1 3 0
34.70  2.585  34  1 2 7